Record 1
The following is a calculated X-ray diffraction stick pattern of Y2PdO4. It was derived from a cell relaxed with PBE, using CuKα.
Intensities are scaled so that the largest is 100.

Principal peaks in the range 15° ≤ 2θ ≤ 90°, in order of rising 2θ:
2θ 26.3, I 34
2θ 31.0, I 100
2θ 32.4, I 14
2θ 49.4, I 39
2θ 54.1, I 43
2θ 76.3, I 20

abc: 6.775 6.775 6.775
angles: 60.00 60.00 60.00
Positions (direct):
Y: 0.000 0.000 0.000
Y: 0.000 0.000 0.500
Y: 0.000 0.500 0.000
Y: 0.500 0.000 0.000
Pd: 0.375 0.375 0.375
Pd: 0.625 0.625 0.625
O: 0.215 0.762 0.762
O: 0.238 0.238 0.238
O: 0.238 0.238 0.785
O: 0.238 0.785 0.238
O: 0.762 0.215 0.762
O: 0.762 0.762 0.215
O: 0.762 0.762 0.762
O: 0.785 0.238 0.238

Record 2
The following is a calculated X-ray diffraction stick pattern of Ho2TmHg2. It was derived from a cell relaxed with PBE, using CuKα.
Intensities are scaled so that the largest is 100.

Principal peaks in the range 15° ≤ 2θ ≤ 90°, in order of rising 2θ:
2θ 33.2, I 23
2θ 33.9, I 100
2θ 34.3, I 25
2θ 48.5, I 16
2θ 59.8, I 14
2θ 61.0, I 19

abc: 3.731 5.235 13.610
angles: 90.00 97.94 90.00
Positions (direct):
Ho: 0.046 0.250 0.095
Ho: 0.235 0.250 0.472
Ho: 0.765 0.750 0.528
Ho: 0.954 0.750 0.905
Tm: 0.146 0.750 0.293
Tm: 0.854 0.250 0.707
Hg: 0.356 0.750 0.712
Hg: 0.452 0.250 0.903
Hg: 0.548 0.750 0.097
Hg: 0.644 0.250 0.288